No. 1
Starting from a GGA-PBE-relaxed structure, the PXRD pattern of NaPa3Be4O12 was computed for Cu Kα X-rays.

Crystal structure
```
data_NaPa3Be4O12
_cell_length_a 6.7575
_cell_length_b 6.7575
_cell_length_c 6.7575
_cell_angle_alpha 103.20
_cell_angle_beta 103.20
_cell_angle_gamma 103.20
_space_group_name_H-M_alt 'P 1'
_space_group_IT_number 1
loop_
_space_group_symop_operation_xyz
'x,y,z'
loop_
_atom_site_label
_atom_site_type_symbol
_atom_site_fract_x
_atom_site_fract_y
_atom_site_fract_z
_atom_site_occupancy
Na1 Na 0.0000 0.0000 0.0000 1
Pa1 Pa 0.0000 0.5429 0.4571 1
Pa2 Pa 0.4571 0.0000 0.5429 1
Pa3 Pa 0.5429 0.4571 0.0000 1
Be1 Be 0.0475 0.5000 0.9525 1
Be2 Be 0.5000 0.5000 0.5000 1
Be3 Be 0.5000 0.9525 0.0475 1
Be4 Be 0.9525 0.0475 0.5000 1
O1 O 0.0146 0.6104 0.7768 1
O2 O 0.1015 0.8985 0.5000 1
O3 O 0.2232 0.3896 0.9854 1
O4 O 0.3538 0.6462 0.5000 1
O5 O 0.3896 0.9854 0.2232 1
O6 O 0.5000 0.1015 0.8985 1
O7 O 0.5000 0.3538 0.6462 1
O8 O 0.6104 0.7768 0.0146 1
O9 O 0.6462 0.5000 0.3538 1
O10 O 0.7768 0.0146 0.6104 1
O11 O 0.8985 0.5000 0.1015 1
O12 O 0.9854 0.2232 0.3896 1
```

The 8 most intense peaks (2θ from 10° to 90°), most intense first:
d [Å]  2theta  I (rel.)
4.050  21.95  100
3.142  28.41  78
5.296  16.74  58
1.950  46.59  44
2.191  41.20  41
1.644  55.93  33
6.284  14.09  32
3.217  27.73  30



No. 2
Starting from a GGA-PBE-relaxed structure, the PXRD pattern of Pr2Si3Au5 was computed for Cu Kα X-rays.

Crystal structure
```
data_Pr2Si3Au5
_cell_length_a 8.7460
_cell_length_b 8.7460
_cell_length_c 8.7460
_cell_angle_alpha 108.66
_cell_angle_beta 86.29
_cell_angle_gamma 138.15
_space_group_name_H-M_alt 'P 1'
_space_group_IT_number 1
loop_
_space_group_symop_operation_xyz
'x,y,z'
loop_
_atom_site_label
_atom_site_type_symbol
_atom_site_fract_x
_atom_site_fract_y
_atom_site_fract_z
_atom_site_occupancy
Pr1 Pr 0.1291 0.2422 0.3713 1
Pr2 Pr 0.3709 0.7422 0.1131 1
Pr3 Pr 0.6291 0.2578 0.8869 1
Pr4 Pr 0.8709 0.7578 0.6287 1
Si1 Si 0.1212 0.6360 0.7572 1
Si2 Si 0.2500 0.2500 0.0000 1
Si3 Si 0.3788 0.1360 0.5148 1
Si4 Si 0.6212 0.8640 0.4852 1
Si5 Si 0.7500 0.7500 0.0000 1
Si6 Si 0.8788 0.3640 0.2428 1
Au1 Au 0.0179 0.7500 0.2679 1
Au2 Au 0.1136 0.8723 0.9859 1
Au3 Au 0.2500 0.7500 0.5000 1
Au4 Au 0.3864 0.3723 0.7588 1
Au5 Au 0.4821 0.7500 0.7321 1
Au6 Au 0.5179 0.2500 0.2679 1
Au7 Au 0.6136 0.6277 0.2412 1
Au8 Au 0.7500 0.2500 0.5000 1
Au9 Au 0.8864 0.1277 0.0141 1
Au10 Au 0.9821 0.2500 0.7321 1
```

The 8 most intense peaks (2θ from 10° to 90°), most intense first:
d [Å]  2theta  I (rel.)
2.705  33.12  100
2.232  40.41  69
2.664  33.65  57
2.908  30.74  27
1.710  53.60  26
3.286  27.14  21
2.476  36.28  20
1.856  49.10  18